Computed powder diffraction line list
Compound: SbPd9
Radiation: CuKα
Structure: the GGA-PBE geometry in OQMD
Peak positions follow from Bragg's law for the DFT cell and can differ from measured ones.

Peak list (6 most intense, 2θ from 15° to 90°, sorted by position)
- 39.3°, I 100, (1 0 13)
- 40.5°, I 33, (1 0 14)
- 44.2°, I 48, (1 1 0)
- 64.3°, I 15, (2 0 0)
- 67.8°, I 13, (1 1 26)
- 78.0°, I 26, (2 1 13)

Atomic structure:
```
20
Lattice="2.897 0.000 0.000 0.000 2.897 0.000 0.000 0.000 48.670" Properties=species:S:1:pos:R:3 pbc="T T T"
Sb 0.724 0.724 6.751
Sb 2.173 2.173 41.918
Pd 0.724 0.724 10.613
Pd 0.724 0.724 14.311
Pd 0.724 0.724 17.965
Pd 0.724 0.724 21.609
Pd 0.724 0.724 25.243
Pd 0.724 0.724 28.881
Pd 0.724 0.724 32.531
Pd 0.724 0.724 36.198
Pd 0.724 0.724 40.002
Pd 2.173 2.173 8.668
Pd 2.173 2.173 12.472
Pd 2.173 2.173 16.139
Pd 2.173 2.173 19.789
Pd 2.173 2.173 23.426
Pd 2.173 2.173 27.060
Pd 2.173 2.173 30.705
Pd 2.173 2.173 34.358
Pd 2.173 2.173 38.056
```